Entry 1:
Starting from a structure optimized by DFT (PBE), the PXRD pattern of Sr3In2GaAu6 was computed for Cu Kα, 1.54184 Å.

Atomic structure:
Cell lengths 6.3906, 6.3906, 8.7486 Å; angles 90.00, 90.00, 120.00 degrees
Space group P-3m1 (No. 164)
Inequivalent atoms, fractional coordinates:
Sr 0.0000 0.0000 0.0000 [1 per cell]
Sr 0.3333 0.6667 0.6290 [2 per cell]
In 0.3333 0.6667 0.0315 [2 per cell]
Ga 0.0000 0.0000 0.5000 [1 per cell]
Au 0.1771 0.3541 0.2982 [6 per cell]

The 8 most intense peaks (2θ from 5° to 70°), low angle first:
hkl	2theta	intensity
1 0 1	18.97	37
0 0 3	30.66	33
2 0 0	32.35	21
0 2 1	33.98	100
1 1 2	34.77	45
2 0 2	38.50	62
0 2 3	45.17	32
2 2 0	57.70	29

---

Entry 2:
Starting from a structure optimized by DFT (PBE), the PXRD pattern of AgSbS2I was computed for Cu Kα, 1.54184 Å.

Atomic structure:
Cell lengths 7.431, 4.316, 10.509 Å; angles 90.00, 110.42, 90.00 degrees
Space group P2_1/m (No. 11)
Inequivalent atoms, fractional coordinates:
Ag 0.145 0.250 0.159 [2 per cell]
Sb 0.116 0.250 0.671 [2 per cell]
S 0.028 0.250 0.887 [2 per cell]
S 0.118 0.250 0.400 [2 per cell]
I 0.441 0.750 0.799 [2 per cell]

The 8 most intense peaks (2θ from 5° to 70°), low angle first:
hkl	2theta	intensity
1 0 0	12.72	58
0 0 2	18.03	94
1 1 0	24.27	65
1 0 -3	25.66	35
0 1 2	27.48	88
2 1 0	33.06	100
2 0 -4	36.60	35
0 1 4	42.25	55

---

Entry 3:
Starting from a structure optimized by DFT (PBE), the PXRD pattern of Pr15Nd4Ho was computed for Cu Kα, 1.54184 Å.

Atomic structure:
Cell lengths 5.239, 5.239, 26.100 Å; angles 90.00, 90.00, 90.00 degrees
Space group P4/mmm (No. 123)
Inequivalent atoms, fractional coordinates:
Pr 0.000 0.000 0.000 [1 per cell]
Pr 0.000 0.000 0.199 [2 per cell]
Pr 0.000 0.000 0.400 [2 per cell]
Pr 0.000 0.500 0.099 [4 per cell]
Pr 0.000 0.500 0.299 [4 per cell]
Pr 0.000 0.500 0.500 [2 per cell]
Nd 0.500 0.500 0.199 [2 per cell]
Nd 0.500 0.500 0.400 [2 per cell]
Ho 0.500 0.500 0.000 [1 per cell]

The 7 most intense peaks (2θ from 5° to 70°), low angle first:
hkl	2theta	intensity
1 1 5	29.57	100
2 0 0	34.23	34
0 0 10	34.36	17
2 2 0	49.25	36
3 1 5	58.44	29
1 1 15	58.61	14
2 2 10	61.37	13

---

Entry 4:
Starting from a structure optimized by DFT (PBE), the PXRD pattern of CeUB8 was computed for Cu Kα, 1.54184 Å.

Atomic structure:
Cell lengths 9.998, 10.114, 4.013 Å; angles 90.00, 90.00, 90.00 degrees
Space group Cmmm (No. 65)
Inequivalent atoms, fractional coordinates:
Ce 0.188 0.000 0.000 [4 per cell]
U 0.000 0.311 0.000 [4 per cell]
B 0.000 0.088 0.500 [4 per cell]
B 0.087 0.500 0.500 [4 per cell]
B 0.140 0.182 0.500 [8 per cell]
B 0.179 0.357 0.500 [8 per cell]
B 0.250 0.250 0.201 [8 per cell]

The 8 most intense peaks (2θ from 5° to 70°), low angle first:
hkl	2theta	intensity
0 0 1	22.15	95
2 2 0	25.05	77
1 3 0	27.93	68
3 1 0	28.19	43
2 2 1	33.68	100
1 3 1	35.93	100
3 1 1	36.14	57
3 5 1	58.09	31

---

Entry 5:
Starting from a structure optimized by DFT (PBE), the PXRD pattern of Pm4Dy3ErS8 was computed for Cu Kα, 1.54184 Å.

Atomic structure:
Cell lengths 7.8809, 7.8809, 19.6791 Å; angles 90.00, 90.00, 120.00 degrees
Space group R-3m (No. 166, hexagonal axes)
Inequivalent atoms, fractional coordinates:
Pm 0.0000 0.0000 0.0000 [3 per cell]
Pm 0.0000 0.5000 0.0000 [9 per cell]
Dy 0.0000 0.5000 0.5000 [9 per cell]
Er 0.0000 0.0000 0.5000 [3 per cell]
S 0.0000 0.0000 0.2456 [6 per cell]
S 0.0020 0.5010 0.2451 [18 per cell]

The 8 most intense peaks (2θ from 5° to 70°), low angle first:
hkl	2theta	intensity
0 0 6	27.19	21
2 0 2	27.67	59
0 2 4	31.92	100
2 0 8	45.45	37
2 2 0	46.07	35
2 2 6	54.32	20
4 0 4	57.14	19
0 4 8	66.72	11

---

Entry 6:
Starting from a structure optimized by DFT (PBE), the PXRD pattern of Mg2Pa2Cu15 was computed for Cu Kα, 1.54184 Å.

Atomic structure:
Cell lengths 8.6032, 8.6032, 12.8371 Å; angles 90.00, 90.00, 120.00 degrees
Space group R-3m (No. 166, hexagonal axes)
Inequivalent atoms, fractional coordinates:
Mg 0.0000 0.0000 0.1050 [6 per cell]
Pa 0.0000 0.0000 0.3589 [6 per cell]
Cu 0.0000 0.3058 0.0000 [18 per cell]
Cu 0.0000 0.5000 0.5000 [9 per cell]
Cu 0.0049 0.5025 0.1528 [18 per cell]

The 8 most intense peaks (2θ from 5° to 70°), low angle first:
hkl	2theta	intensity
1 0 1	13.74	26
1 1 3	29.44	28
3 0 0	36.17	25
0 2 4	36.97	23
0 3 3	42.05	100
0 0 6	42.24	17
2 1 4	42.72	16
3 3 3	69.09	13

---

Entry 7:
Starting from a structure optimized by DFT (PBE), the PXRD pattern of NaH9O5 was computed for Cu Kα, 1.54184 Å.

Atomic structure:
Cell lengths 4.187, 7.829, 9.366 Å; angles 81.47, 78.76, 75.76 degrees
Space group P1 (No. 1)
Inequivalent atoms, fractional coordinates:
Na 0.000 0.000 0.000 [1 per cell]
Na 0.051 0.623 0.292 [1 per cell]
H 0.065 0.975 0.316 [1 per cell]
H 0.069 0.310 0.174 [1 per cell]
H 0.077 0.046 0.500 [1 per cell]
H 0.239 0.211 0.314 [1 per cell]
H 0.357 0.646 0.976 [1 per cell]
H 0.407 0.789 0.438 [1 per cell]
H 0.437 0.368 0.734 [1 per cell]
H 0.455 0.598 0.526 [1 per cell]
H 0.492 0.087 0.524 [1 per cell]
H 0.552 0.538 0.768 [1 per cell]
H 0.593 0.310 0.119 [1 per cell]
H 0.594 0.026 0.767 [1 per cell]
H 0.621 0.255 0.550 [1 per cell]
H 0.642 0.833 0.853 [1 per cell]
H 0.689 0.978 0.316 [1 per cell]
H 0.789 0.411 0.980 [1 per cell]
H 0.970 0.575 0.794 [1 per cell]
H 0.981 0.646 0.978 [1 per cell]
O 0.132 0.680 0.034 [1 per cell]
O 0.219 0.322 0.242 [1 per cell]
O 0.292 0.022 0.432 [1 per cell]
O 0.409 0.495 0.706 [1 per cell]
O 0.475 0.659 0.425 [1 per cell]
O 0.574 0.963 0.867 [1 per cell]
O 0.633 0.131 0.586 [1 per cell]
O 0.753 0.601 0.860 [1 per cell]
O 0.812 0.300 0.051 [1 per cell]
O 0.914 0.942 0.259 [1 per cell]

The 8 most intense peaks (2θ from 5° to 70°), low angle first:
hkl	2theta	intensity
0 0 1	9.68	56
0 1 -2	23.81	60
1 0 -1	25.74	100
1 1 2	26.58	84
0 3 0	35.69	33
1 1 -3	41.28	47
1 0 4	42.19	29
2 1 1	43.26	54

---

Entry 8:
Starting from a structure optimized by DFT (PBE), the PXRD pattern of La3MgN3 was computed for Cu Kα, 1.54184 Å.

Atomic structure:
Cell lengths 3.746, 3.746, 9.660 Å; angles 90.00, 90.00, 90.00 degrees
Space group P4/mmm (No. 123)
Inequivalent atoms, fractional coordinates:
La 0.000 0.000 0.000 [1 per cell]
La 0.500 0.500 0.268 [2 per cell]
Mg 0.000 0.000 0.500 [1 per cell]
N 0.000 0.000 0.268 [2 per cell]
N 0.500 0.500 0.000 [1 per cell]

The 8 most intense peaks (2θ from 5° to 70°), low angle first:
hkl	2theta	intensity
0 0 1	9.15	22
1 0 2	30.19	100
1 1 0	33.84	56
0 0 4	37.23	19
2 0 0	48.62	20
1 1 4	51.19	30
2 1 2	58.30	32
2 0 4	62.80	26

---

Entry 9:
Starting from a structure optimized by DFT (PBE), the PXRD pattern of Ac3Sn2Bi2Pt4 was computed for Cu Kα, 1.54184 Å.

Atomic structure:
Cell lengths 4.8461, 4.8461, 14.6380 Å; angles 90.00, 90.00, 120.00 degrees
Space group P-3m1 (No. 164)
Inequivalent atoms, fractional coordinates:
Ac 0.0000 0.0000 0.0000 [1 per cell]
Ac 0.0000 0.0000 0.2750 [2 per cell]
Sn 0.3333 0.6667 0.1512 [2 per cell]
Bi 0.3333 0.6667 0.5708 [2 per cell]
Pt 0.3333 0.6667 0.3737 [2 per cell]
Pt 0.3333 0.6667 0.8694 [2 per cell]

The 8 most intense peaks (2θ from 5° to 70°), low angle first:
hkl	2theta	intensity
1 0 3	28.04	40
0 1 4	32.46	84
1 1 0	37.10	100
1 0 6	42.88	15
2 0 4	50.11	25
1 1 7	58.28	22
1 2 4	63.97	25
3 0 0	66.88	19

---

Entry 10:
Starting from a structure optimized by DFT (PBE), the PXRD pattern of Er4Bi2Sb was computed for Cu Kα, 1.54184 Å.

Atomic structure:
Cell lengths 9.531, 9.553, 9.565 Å; angles 90.00, 90.00, 90.00 degrees
Space group I2_12_12_1 (No. 24)
Inequivalent atoms, fractional coordinates:
Er 0.064 0.052 0.060 [8 per cell]
Er 0.186 0.310 0.803 [8 per cell]
Bi 0.000 0.250 0.308 [4 per cell]
Bi 0.250 0.441 0.500 [4 per cell]
Sb 0.125 0.000 0.750 [4 per cell]

The 8 most intense peaks (2θ from 5° to 70°), low angle first:
hkl	2theta	intensity
1 2 1	22.80	15
0 2 2	26.37	27
3 1 0	29.61	63
2 1 3	35.15	100
1 4 1	40.03	26
2 3 3	44.50	11
4 3 1	48.65	12
1 1 6	59.64	15

---

Entry 11:
Starting from a structure optimized by DFT (PBE), the PXRD pattern of CsRb9Na3 was computed for Cu Kα, 1.54184 Å.

Atomic structure:
Cell lengths 8.530, 22.377, 11.527 Å; angles 90.00, 110.36, 90.00 degrees
Space group C2/m (No. 12)
Inequivalent atoms, fractional coordinates:
Cs 0.000 0.000 0.000 [2 per cell]
Rb 0.000 0.000 0.500 [2 per cell]
Rb 0.086 0.391 0.210 [8 per cell]
Rb 0.162 0.178 0.333 [8 per cell]
Na 0.000 0.500 0.500 [2 per cell]
Na 0.250 0.250 0.000 [4 per cell]

The 8 most intense peaks (2θ from 5° to 70°), low angle first:
hkl	2theta	intensity
1 3 1	19.90	32
1 3 -2	20.20	47
2 0 -1	20.83	47
1 5 0	22.80	100
0 4 2	22.88	65
1 1 2	23.19	48
2 2 0	23.63	55
2 4 -1	26.26	31

---

Entry 12:
Starting from a structure optimized by DFT (PBE), the PXRD pattern of Th2Zn4Ga3Cu was computed for Cu Kα, 1.54184 Å.

Atomic structure:
Cell lengths 4.245, 4.245, 10.452 Å; angles 90.00, 90.00, 90.00 degrees
Space group P-4m2 (No. 115)
Inequivalent atoms, fractional coordinates:
Th 0.000 0.500 0.245 [2 per cell]
Zn 0.000 0.000 0.500 [1 per cell]
Zn 0.000 0.500 0.874 [2 per cell]
Zn 0.500 0.500 0.500 [1 per cell]
Ga 0.000 0.000 0.000 [1 per cell]
Ga 0.000 0.500 0.639 [2 per cell]
Cu 0.500 0.500 0.000 [1 per cell]

The 8 most intense peaks (2θ from 5° to 70°), low angle first:
hkl	2theta	intensity
1 0 1	22.61	26
1 1 0	29.77	26
1 0 3	33.27	72
1 1 2	34.46	100
2 0 0	42.60	50
1 0 5	48.55	31
2 1 3	55.10	35
2 1 5	66.54	24